(1)
Calculated X-ray diffraction stick pattern
Compound: CeZn2Pd9
Radiation: a wavelength of 1.5418 Å
Structure: a PBE-relaxed structure
Intensities are scaled so that the largest is 100.

Cell lengths 4.0722, 4.0722, 11.5995 Å; angles 90.00, 90.00, 90.00 degrees
Positions (direct):
Ce1 0.0000 0.0000 0.0000
Zn1 0.0000 0.0000 0.3450
Zn2 0.0000 0.0000 0.6550
Pd1 0.0000 0.5000 0.1788
Pd2 0.0000 0.5000 0.5000
Pd3 0.0000 0.5000 0.8212
Pd4 0.5000 0.0000 0.1788
Pd5 0.5000 0.0000 0.5000
Pd6 0.5000 0.0000 0.8212
Pd7 0.5000 0.5000 0.0000
Pd8 0.5000 0.5000 0.3387
Pd9 0.5000 0.5000 0.6613

Most intense lines, 15° ≤ 2θ ≤ 90°, sorted by position:
2theta  d/Å  I (rel.)  index
34.8  2.579  2  1 1 2
39.0  2.309  100  1 1 3
44.5  2.036  35  2 0 0
47.0  1.933  13  0 0 6
64.7  1.440  11  2 2 0
66.7  1.402  18  2 0 6
73.1  1.295  1  1 1 8
78.2  1.222  25  3 1 3
81.9  1.176  9  1 1 9
83.8  1.155  10  2 2 6


(2)
Calculated X-ray diffraction stick pattern
Compound: Th4As3P
Radiation: a wavelength of 1.5418 Å
Structure: a PBE-relaxed structure
Intensities are scaled so that the largest is 100.

Cell lengths 5.9780, 5.9780, 5.9780 Å; angles 90.00, 90.00, 90.00 degrees
Positions (direct):
Th1 0.0000 0.0000 0.0000
Th2 0.0000 0.5000 0.5000
Th3 0.5000 0.0000 0.5000
Th4 0.5000 0.5000 0.0000
As1 0.0000 0.0000 0.5000
As2 0.0000 0.5000 0.0000
As3 0.5000 0.0000 0.0000
P1 0.5000 0.5000 0.5000

Most intense lines, 15° ≤ 2θ ≤ 90°, sorted by position:
2theta  d/Å  I (rel.)  index
25.8  3.451  56  1 1 1
29.9  2.989  100  2 0 0
42.8  2.114  76  2 2 0
50.6  1.802  29  3 1 1
53.1  1.726  27  2 2 2
62.1  1.494  13  4 0 0
68.4  1.371  12  3 3 1
70.4  1.337  36  4 2 0
78.4  1.220  27  4 2 2
84.1  1.150  10  5 1 1